[1]
# MnCoSe4
Simulated powder X-ray diffraction pattern, λ = 1.5418 Å (Cu Kα). Input: a structure optimized by DFT (GGA-PBE).

Most intense lines, 5° ≤ 2θ ≤ 70°, by angle:
| d/Å | I (rel.) |
| --- | --- |
| 2.920 | 11.9 |
| 2.913 | 5.9 |
| 2.610 | 100.0 |
| 2.382 | 76.1 |
| 2.063 | 13.3 |
| 1.761 | 40.8 |
| 1.757 | 20.3 |
| 1.684 | 4.5 |
| 1.619 | 18.2 |
| 1.560 | 29.7 |
| 1.558 | 10.0 |
| 1.460 | 4.4 |

```
data_MnCoSe4
_symmetry_space_group_name_H-M 'P 1'
_symmetry_Int_Tables_number 1
_cell_length_a 5.8253
_cell_length_b 5.8364
_cell_length_c 5.8443
_cell_angle_alpha 90.00
_cell_angle_beta 90.04
_cell_angle_gamma 90.00
loop_
_symmetry_equiv_pos_as_xyz
'x,y,z'
loop_
_atom_site_label
_atom_site_fract_x
_atom_site_fract_y
_atom_site_fract_z
_atom_site_occupancy
Mn1 0.0000 0.0000 0.0000 1
Mn2 0.0000 0.5000 0.5000 1
Co1 0.5000 0.0000 0.5000 1
Co2 0.5000 0.5000 0.0000 1
Se1 0.1224 0.1274 0.6285 1
Se2 0.1224 0.3726 0.1285 1
Se3 0.3706 0.6245 0.6229 1
Se4 0.3706 0.8755 0.1229 1
Se5 0.6294 0.1245 0.8771 1
Se6 0.6294 0.3755 0.3771 1
Se7 0.8776 0.6274 0.8715 1
Se8 0.8776 0.8726 0.3715 1
```


[2]
# PS5F
Simulated powder X-ray diffraction pattern, λ = 1.5418 Å (Cu Kα). Input: a structure optimized by DFT (GGA-PBE).

Most intense lines, 5° ≤ 2θ ≤ 70°, by angle:
| d/Å | I (rel.) |
| --- | --- |
| 7.019 | 31.5 |
| 5.766 | 55.1 |
| 5.054 | 59.4 |
| 4.850 | 27.5 |
| 4.151 | 100.0 |
| 4.045 | 31.4 |
| 3.510 | 13.6 |
| 3.409 | 19.4 |
| 3.085 | 13.7 |
| 2.605 | 29.0 |
| 2.527 | 14.9 |
| 2.086 | 15.3 |

```
data_PS5F
_symmetry_space_group_name_H-M 'P 1'
_symmetry_Int_Tables_number 1
_cell_length_a 5.0748
_cell_length_b 5.8615
_cell_length_c 7.1106
_cell_angle_alpha 99.03
_cell_angle_beta 90.91
_cell_angle_gamma 94.86
loop_
_symmetry_equiv_pos_as_xyz
'x,y,z'
loop_
_atom_site_label
_atom_site_fract_x
_atom_site_fract_y
_atom_site_fract_z
_atom_site_occupancy
P1 0.0000 0.0000 0.0000 1
S1 0.2862 0.0253 0.2983 1
S2 0.7507 0.2574 0.9579 1
S3 0.8032 0.7341 0.7819 1
S4 0.8745 0.9082 0.2622 1
S5 0.9864 0.4418 0.7715 1
F1 0.3343 0.0189 0.5327 1
```


[3]
# LaPm8Y6
Simulated powder X-ray diffraction pattern, λ = 1.5418 Å (Cu Kα). Input: a structure optimized by DFT (GGA-PBE).

Most intense lines, 5° ≤ 2θ ≤ 70°, by angle:
| d/Å | I (rel.) |
| --- | --- |
| 2.970 | 27.7 |
| 2.886 | 100.0 |
| 2.814 | 31.3 |
| 2.787 | 9.4 |
| 2.606 | 10.3 |
| 2.476 | 14.3 |
| 2.113 | 6.1 |
| 1.753 | 10.9 |
| 1.732 | 6.0 |
| 1.721 | 7.6 |
| 1.681 | 7.4 |
| 1.558 | 10.2 |

```
data_LaPm8Y6
_symmetry_space_group_name_H-M 'P 1'
_symmetry_Int_Tables_number 1
_cell_length_a 8.7917
_cell_length_b 8.7917
_cell_length_c 8.7917
_cell_angle_alpha 62.82
_cell_angle_beta 62.82
_cell_angle_gamma 62.82
loop_
_symmetry_equiv_pos_as_xyz
'x,y,z'
loop_
_atom_site_label
_atom_site_fract_x
_atom_site_fract_y
_atom_site_fract_z
_atom_site_occupancy
La1 0.0000 0.0000 0.0000 1
Pm1 0.1137 0.7519 0.7154 1
Pm2 0.2481 0.2846 0.8863 1
Pm3 0.2846 0.8863 0.2481 1
Pm4 0.4227 0.4227 0.4227 1
Pm5 0.5773 0.5773 0.5773 1
Pm6 0.7154 0.1137 0.7519 1
Pm7 0.7519 0.7154 0.1137 1
Pm8 0.8863 0.2481 0.2846 1
Y1 0.0957 0.2498 0.5345 1
Y2 0.2498 0.5345 0.0957 1
Y3 0.4655 0.9043 0.7502 1
Y4 0.5345 0.0957 0.2498 1
Y5 0.7502 0.4655 0.9043 1
Y6 0.9043 0.7502 0.4655 1
```